Entry 1:
Structure and computed powder XRD pattern of TaSbO4 (the GGA-PBE geometry in Alexandria; Cu Ka).
Kinematic intensities with the Lorentz-polarization factor, no thermal factor.

Largest 8 diffraction maxima, by angle, 10° ≤ 2θ ≤ 90°:
- (1 1 1), 24.89°, rel. 50
- (1 2 1), 28.08°, rel. 100
- (0 4 0), 29.82°, rel. 32
- (2 1 0), 32.73°, rel. 34
- (0 4 2), 47.22°, rel. 17
- (2 1 2), 49.22°, rel. 16
- (1 6 1), 51.88°, rel. 20
- (2 3 2), 54.06°, rel. 13

Cell and atoms:
```
data_TaSbO4
_chemical_formula_sum 'Ta4 Sb4 O16'
_symmetry_space_group_name_H-M 'P 1'
_symmetry_Int_Tables_number 1
_symmetry_space_group_name_Hall 'P 1'
_cell_length_a 5.6268
_cell_length_b 11.9833
_cell_length_c 5.0238
_cell_angle_alpha 90.00
_cell_angle_beta 90.00
_cell_angle_gamma 90.00
loop_
_atom_site_label
_atom_site_type_symbol
_atom_site_fract_x
_atom_site_fract_y
_atom_site_fract_z
Ta1 Ta 0.1195 0.2500 0.2500
Ta2 Ta 0.3805 0.7500 0.2500
Ta3 Ta 0.6195 0.2500 0.7500
Ta4 Ta 0.8805 0.7500 0.7500
Sb1 Sb 0.2500 0.0000 0.6948
Sb2 Sb 0.2500 0.5000 0.8052
Sb3 Sb 0.7500 0.0000 0.3052
Sb4 Sb 0.7500 0.5000 0.1948
O1 O 0.0789 0.0948 0.4145
O2 O 0.0789 0.4052 0.0855
O3 O 0.1562 0.6993 0.5082
O4 O 0.1562 0.8007 0.9918
O5 O 0.3438 0.1993 0.9918
O6 O 0.3438 0.3007 0.5082
O7 O 0.4211 0.5948 0.0855
O8 O 0.4211 0.9052 0.4145
O9 O 0.5789 0.0948 0.5855
O10 O 0.5789 0.4052 0.9145
O11 O 0.6562 0.6993 0.4918
O12 O 0.6562 0.8007 0.0082
O13 O 0.8438 0.1993 0.0082
O14 O 0.8438 0.3007 0.4918
O15 O 0.9211 0.5948 0.9145
O16 O 0.9211 0.9052 0.5855
```

***

Entry 2:
Structure and computed powder XRD pattern of TaTiSbO6 (the GGA-PBE geometry in Alexandria; Cu Ka).
Kinematic intensities with the Lorentz-polarization factor, no thermal factor.

Largest 8 diffraction maxima, by angle, 10° ≤ 2θ ≤ 90°:
- (1 0 1), 18.95°, rel. 45
- (0 1 -1), 19.45°, rel. 26
- (1 -1 0), 24.66°, rel. 23
- (1 1 2), 28.71°, rel. 100
- (1 1 -1), 29.40°, rel. 53
- (1 -1 2), 29.51°, rel. 53
- (0 0 3), 32.05°, rel. 62
- (2 0 4), 49.63°, rel. 26

Cell and atoms:
```
data_TaTiSbO6
_chemical_formula_sum 'Ta2 Ti2 Sb2 O12'
_symmetry_space_group_name_H-M 'P 1'
_symmetry_Int_Tables_number 1
_symmetry_space_group_name_Hall 'P 1'
_cell_length_a 4.8796
_cell_length_b 5.5962
_cell_length_c 8.7265
_cell_angle_alpha 87.65
_cell_angle_beta 73.84
_cell_angle_gamma 89.76
loop_
_atom_site_label
_atom_site_type_symbol
_atom_site_fract_x
_atom_site_fract_y
_atom_site_fract_z
Ta1 Ta 0.0646 0.3275 0.3491
Ta2 Ta 0.9354 0.6725 0.6509
Ti1 Ti 0.4091 0.1711 0.6530
Ti2 Ti 0.5909 0.8289 0.3471
Sb1 Sb 0.3006 0.7575 0.9983
Sb2 Sb 0.6994 0.2425 0.0017
O1 O 0.1080 0.9204 0.7267
O2 O 0.1746 0.4143 0.7242
O3 O 0.2255 0.6489 0.4383
O4 O 0.3320 0.1513 0.4410
O5 O 0.3493 0.4144 0.1371
O6 O 0.4884 0.0832 0.8620
O7 O 0.5116 0.9168 0.1380
O8 O 0.6507 0.5856 0.8629
O9 O 0.6680 0.8487 0.5590
O10 O 0.7745 0.3511 0.5617
O11 O 0.8254 0.5857 0.2758
O12 O 0.8920 0.0796 0.2733
```